Simulated PXRD pattern of TiPt6Rh23 for Cu Kα, from a PBE-relaxed structure.

Crystal structure
Cell lengths 12.212, 12.212, 12.212 Å; angles 90.00, 90.00, 90.00 degrees
Space group Fm-3m (No. 225)
Asymmetric unit:
Ti 0.000 0.000 0.000 x4
Pt 0.000 0.000 0.225 x24
Rh 0.000 0.000 0.500 x4
Rh 0.000 0.250 0.250 x24
Rh 0.124 0.124 0.376 x32
Rh 0.150 0.150 0.150 x32

Main lines, by angle (2θ from 10° to 90°):
- 2θ = 32.8°, intensity 9
- 2θ = 36.0°, intensity 9
- 2θ = 38.3°, intensity 19
- 2θ = 41.8°, intensity 100
- 2θ = 58.0°, intensity 10
- 2θ = 60.7°, intensity 13
- 2θ = 76.4°, intensity 21
- 2θ = 81.5°, intensity 11



Simulated PXRD pattern of Cs8Ir3O8 for Cu Kα, from a PBE-relaxed structure.

Crystal structure
Cell lengths 21.886, 6.125, 8.685 Å; angles 90.00, 107.70, 90.00 degrees
Space group C2/m (No. 12)
Asymmetric unit:
Cs 0.021 0.000 0.252 x4
Cs 0.111 0.500 0.945 x4
Cs 0.163 0.500 0.448 x4
Cs 0.202 0.000 0.782 x4
Ir 0.000 0.500 0.500 x2
Ir 0.186 0.000 0.200 x4
O 0.017 0.500 0.304 x4
O 0.113 0.000 0.017 x4
O 0.174 0.000 0.402 x4
O 0.234 0.500 0.829 x4

Main lines, by angle (2θ from 10° to 90°):
- 2θ = 17.7°, intensity 17
- 2θ = 25.4°, intensity 30
- 2θ = 25.6°, intensity 20
- 2θ = 25.9°, intensity 37
- 2θ = 27.4°, intensity 64
- 2θ = 29.2°, intensity 100
- 2θ = 39.2°, intensity 17
- 2θ = 51.8°, intensity 13



Simulated PXRD pattern of RbTl4As for Cu Kα, from a PBE-relaxed structure.

Crystal structure
Cell lengths 10.669, 4.246, 9.034 Å; angles 90.00, 90.00, 90.00 degrees
Space group Pmma (No. 51)
Asymmetric unit:
Rb 0.250 0.000 0.118 x2
Tl 0.000 0.000 0.500 x2
Tl 0.057 0.500 0.800 x4
Tl 0.250 0.500 0.469 x2
As 0.250 0.000 0.724 x2

Main lines, by angle (2θ from 10° to 90°):
- 2θ = 26.9°, intensity 23
- 2θ = 28.6°, intensity 91
- 2θ = 29.7°, intensity 36
- 2θ = 30.1°, intensity 20
- 2θ = 33.5°, intensity 100
- 2θ = 33.6°, intensity 20
- 2θ = 34.4°, intensity 30
- 2θ = 42.6°, intensity 25



Simulated PXRD pattern of GaPdPt14 for Cu Kα, from a PBE-relaxed structure.

Crystal structure
Cell lengths 9.292, 5.564, 9.667 Å; angles 90.00, 90.00, 90.00 degrees
Space group Amm2 (No. 38)
Asymmetric unit:
Ga 0.000 0.000 0.000 x2
Pd 0.000 0.000 0.503 x2
Pt 0.000 0.248 0.753 x4
Pt 0.244 0.000 0.165 x4
Pt 0.246 0.249 0.917 x8
Pt 0.250 0.000 0.666 x4
Pt 0.500 0.000 0.330 x2
Pt 0.500 0.000 0.831 x2
Pt 0.500 0.249 0.081 x4

Main lines, by angle (2θ from 10° to 90°):
- 2θ = 37.3°, intensity 11
- 2θ = 38.5°, intensity 36
- 2θ = 38.8°, intensity 35
- 2θ = 42.2°, intensity 100
- 2θ = 47.8°, intensity 19
- 2θ = 67.1°, intensity 14
- 2θ = 72.5°, intensity 20
- 2θ = 80.3°, intensity 20